(1)
# SrMg6NbO8
Calculated X-ray diffraction stick pattern, Cu Kα. Input: a structure optimized by DFT (GGA-PBE).

Cell and atoms:
```
SrMg6NbO8
1.0
4.5312 0.0000 0.0000
0.0000 4.5312 0.0000
0.0000 0.0000 9.0157
Sr Mg Nb O
1 6 1 8
direct
0.0000 0.0000 0.0000
0.0000 0.5000 0.2539
0.0000 0.5000 0.7461
0.5000 0.0000 0.2539
0.5000 0.0000 0.7461
0.5000 0.5000 0.0000
0.5000 0.5000 0.5000
0.0000 0.0000 0.5000
0.0000 0.0000 0.2615
0.0000 0.0000 0.7385
0.0000 0.5000 0.0000
0.0000 0.5000 0.5000
0.5000 0.0000 0.0000
0.5000 0.0000 0.5000
0.5000 0.5000 0.2513
0.5000 0.5000 0.7487
```

The 8 most intense peaks (2θ = 5–70°), by angle:
d_spacing	Position (°2θ)	intensity
4.531	19.59	498
4.508	19.69	248
3.198	27.89	634
2.612	34.34	581
2.266	39.79	1000
2.254	40.00	488
1.602	57.53	303
1.598	57.69	596

(2)
# SiBiO3
Calculated X-ray diffraction stick pattern, Cu Kα. Input: a structure optimized by DFT (GGA-PBE).

Cell and atoms:
```
SiBiO3
1.0
3.7987 0.0000 0.0000
0.0000 3.7987 0.0000
0.0000 0.0000 3.7987
Si Bi O
1 1 3
direct
0.0000 0.0000 0.0000
0.5000 0.5000 0.5000
0.0000 0.0000 0.5000
0.0000 0.5000 0.0000
0.5000 0.0000 0.0000
```

The 6 most intense peaks (2θ = 5–70°), by angle:
d_spacing	Position (°2θ)	intensity
3.799	23.42	624
2.686	33.36	1000
2.193	41.16	406
1.899	47.89	302
1.699	53.98	303
1.551	59.62	402

(3)
# K2Se4O
Calculated X-ray diffraction stick pattern, Cu Kα. Input: a structure optimized by DFT (GGA-PBE).

Cell and atoms:
```
K2Se4O
1.0
4.6718 -4.3371 0.0000
4.6718 4.3371 0.0000
-1.8940 0.0000 11.1488
K Se O
4 8 2
direct
0.1897 0.8103 0.5000
0.3333 0.7794 0.8867
0.7794 0.3333 0.3867
0.8103 0.1897 0.0000
0.2089 0.2647 0.7499
0.2647 0.2089 0.2499
0.2951 0.3029 0.9633
0.3029 0.2951 0.4633
0.3543 0.8280 0.2115
0.7287 0.7724 0.2125
0.7724 0.7287 0.7125
0.8280 0.3543 0.7115
0.7427 0.8424 0.8586
0.8424 0.7427 0.3586
```

The 8 most intense peaks (2θ = 5–70°), by angle:
d_spacing	Position (°2θ)	intensity
5.574	15.90	192
5.243	16.91	193
4.606	19.27	220
3.884	22.89	230
3.377	26.39	293
3.158	28.26	1000
2.787	32.11	240
2.167	41.67	192

(4)
# NdP12Os4
Calculated X-ray diffraction stick pattern, Cu Kα. Input: a structure optimized by DFT (GGA-PBE).

Cell and atoms:
```
NdP12Os4
1.0
-4.0658 4.0658 4.0658
4.0658 -4.0658 4.0658
4.0658 4.0658 -4.0658
Nd P Os
1 12 4
direct
0.0000 0.0000 0.0000
0.1432 0.3569 0.5001
0.1432 0.6431 0.7863
0.2137 0.8568 0.3569
0.3569 0.2137 0.8568
0.3569 0.5001 0.1432
0.5001 0.1432 0.3569
0.4999 0.8568 0.6431
0.6431 0.4999 0.8568
0.6431 0.7863 0.1432
0.7863 0.1432 0.6431
0.8568 0.3569 0.2137
0.8568 0.6431 0.4999
0.0000 0.0000 0.5000
0.0000 0.5000 0.0000
0.5000 0.0000 0.0000
0.5000 0.5000 0.5000
```

The 8 most intense peaks (2θ = 5–70°), by angle:
d_spacing	Position (°2θ)	intensity
4.066	21.86	471
2.875	31.11	1000
2.571	34.89	169
2.347	38.35	184
2.173	41.55	120
2.033	44.57	169
1.818	50.17	382
1.660	55.35	505

(5)
# Ho2Mn12GaGe11
Calculated X-ray diffraction stick pattern, Cu Kα. Input: a structure optimized by DFT (GGA-PBE).

Cell and atoms:
```
Ho2Mn12GaGe11
1.0
5.1720 0.0000 0.0000
-2.5860 4.4791 0.0000
0.0000 0.0000 16.2308
Ho Mn Ga Ge
2 12 1 11
direct
0.0000 0.0000 0.0000
0.0000 0.0000 0.4993
0.0000 0.5000 0.1238
0.0000 0.5000 0.3746
0.0000 0.5000 0.6247
0.0000 0.5000 0.8740
0.5000 0.0000 0.1238
0.5000 0.0000 0.3746
0.5000 0.0000 0.6247
0.5000 0.0000 0.8740
0.5000 0.5000 0.1238
0.5000 0.5000 0.3746
0.5000 0.5000 0.6247
0.5000 0.5000 0.8740
0.0000 0.0000 0.1722
0.0000 0.0000 0.3280
0.0000 0.0000 0.6712
0.0000 0.0000 0.8276
0.3333 0.6667 0.9999
0.3333 0.6667 0.2482
0.3333 0.6667 0.4994
0.3333 0.6667 0.7493
0.6667 0.3333 0.9999
0.6667 0.3333 0.2482
0.6667 0.3333 0.4994
0.6667 0.3333 0.7493
```

The 8 most intense peaks (2θ = 5–70°), by angle:
d_spacing	Position (°2θ)	intensity
2.586	34.69	767
2.316	38.89	426
2.240	40.27	494
2.181	41.40	1000
2.029	44.66	236
1.961	46.31	374
1.869	48.71	223
1.401	66.76	233

Copy entry 2 word for word.
# SiBiO3
Calculated X-ray diffraction stick pattern, Cu Kα. Input: a structure optimized by DFT (GGA-PBE).

Cell and atoms:
```
SiBiO3
1.0
3.7987 0.0000 0.0000
0.0000 3.7987 0.0000
0.0000 0.0000 3.7987
Si Bi O
1 1 3
direct
0.0000 0.0000 0.0000
0.5000 0.5000 0.5000
0.0000 0.0000 0.5000
0.0000 0.5000 0.0000
0.5000 0.0000 0.0000
```

The 6 most intense peaks (2θ = 5–70°), by angle:
d_spacing	Position (°2θ)	intensity
3.799	23.42	624
2.686	33.36	1000
2.193	41.16	406
1.899	47.89	302
1.699	53.98	303
1.551	59.62	402